Entry 1:
This entry pairs a crystal structure of CaIn4Hg2 with its calculated XRD peak list. Radiation: copper Kα. Structure: a crystal structure in Alexandria, relaxed with PBE.

The 10 most intense peaks (10° ≤ 2θ ≤ 90°), low angle first:
Position (°2θ)	I (rel.)
19.29	24
31.49	100
32.34	100
33.00	98
34.37	87
35.82	78
37.24	65
43.49	44
47.97	26
59.88	26

Crystal structure
Cell lengths 5.5603, 8.3283, 8.9632 Å; angles 64.03, 84.80, 86.68 degrees
Element x y z (fractional)
Ca1 0.2179 0.2440 0.4873
Ca2 0.7821 0.7560 0.5127
In1 0.2296 0.6816 0.2007
In2 0.2356 0.8033 0.7713
In3 0.2584 0.3894 0.0561
In4 0.2588 0.0887 0.9139
In5 0.7412 0.9113 0.0861
In6 0.7416 0.6106 0.9439
In7 0.7644 0.1967 0.2287
In8 0.7704 0.3184 0.7993
Hg1 0.2780 0.9675 0.3308
Hg2 0.2797 0.5170 0.6429
Hg3 0.7203 0.4830 0.3571
Hg4 0.7220 0.0325 0.6692

Entry 2:
This entry pairs a crystal structure of SrAl2Br2 with its calculated XRD peak list. Radiation: copper Kα. Structure: a crystal structure in Alexandria, relaxed with PBE.

The 10 most intense peaks (10° ≤ 2θ ≤ 90°), low angle first:
Position (°2θ)	I (rel.)
23.41	9
24.56	18
28.18	100
31.21	34
35.01	14
35.36	20
39.38	12
47.87	20
53.70	21
59.17	12

Crystal structure
Cell lengths 8.1052, 8.1052, 5.0765 Å; angles 90.00, 90.00, 90.00 degrees
Element x y z (fractional)
Sr1 0.0000 0.0000 0.0000
Sr2 0.5000 0.5000 0.0000
Al1 0.1147 0.3853 0.0000
Al2 0.3853 0.8853 0.0000
Al3 0.6147 0.1147 0.0000
Al4 0.8853 0.6147 0.0000
Br1 0.2234 0.2766 0.5000
Br2 0.2766 0.7766 0.5000
Br3 0.7234 0.2234 0.5000
Br4 0.7766 0.7234 0.5000

Entry 3:
This entry pairs a crystal structure of SmEr6Pd2 with its calculated XRD peak list. Radiation: copper Kα. Structure: a crystal structure in Alexandria, relaxed with PBE.

The 10 most intense peaks (10° ≤ 2θ ≤ 90°), low angle first:
Position (°2θ)	I (rel.)
30.17	25
30.60	66
32.10	44
32.56	27
32.72	100
33.17	28
34.15	60
34.97	65
38.67	28
49.86	30

Crystal structure
Cell lengths 8.2118, 8.2118, 10.8186 Å; angles 128.19, 128.19, 25.74 degrees
Element x y z (fractional)
Sm1 0.0000 0.0000 0.0000
Er1 0.0328 0.0328 0.6885
Er2 0.2864 0.2864 0.3896
Er3 0.3059 0.3059 0.9464
Er4 0.6941 0.6941 0.0536
Er5 0.7136 0.7136 0.6104
Er6 0.9672 0.9672 0.3115
Pd1 0.4037 0.4037 0.7267
Pd2 0.5963 0.5963 0.2733

Entry 4:
This entry pairs a crystal structure of AcAlSi2Ni2 with its calculated XRD peak list. Radiation: copper Kα. Structure: a crystal structure in Alexandria, relaxed with PBE.

The 10 most intense peaks (10° ≤ 2θ ≤ 90°), low angle first:
Position (°2θ)	I (rel.)
24.39	15
25.39	24
28.22	100
35.49	71
44.74	43
53.74	17
56.88	21
58.37	17
59.37	21
76.42	16

Crystal structure
Cell lengths 4.0511, 4.0511, 7.2987 Å; angles 90.00, 90.00, 120.00 degrees
Element x y z (fractional)
Ac1 0.0000 0.0000 0.0000
Al1 0.0000 0.0000 0.5000
Si1 0.3333 0.6667 0.7028
Si2 0.6667 0.3333 0.2972
Ni1 0.3333 0.6667 0.3762
Ni2 0.6667 0.3333 0.6238

Entry 5:
This entry pairs a crystal structure of PaAl3 with its calculated XRD peak list. Radiation: copper Kα. Structure: a crystal structure in Alexandria, relaxed with PBE.

The 10 most intense peaks (10° ≤ 2θ ≤ 90°), low angle first:
Position (°2θ)	I (rel.)
16.28	33
25.39	100
28.38	49
32.89	19
38.45	75
39.30	16
48.48	31
49.19	23
65.01	17
72.97	15

Crystal structure
Cell lengths 6.2887, 6.2887, 4.5849 Å; angles 90.00, 90.00, 120.00 degrees
Element x y z (fractional)
Pa1 0.3333 0.6667 0.2500
Pa2 0.6667 0.3333 0.7500
Al1 0.1482 0.2964 0.7500
Al2 0.1482 0.8518 0.7500
Al3 0.2964 0.1482 0.2500
Al4 0.7036 0.8518 0.7500
Al5 0.8518 0.1482 0.2500
Al6 0.8518 0.7036 0.2500

Entry 6:
This entry pairs a crystal structure of V9InS12 with its calculated XRD peak list. Radiation: copper Kα. Structure: a crystal structure in Alexandria, relaxed with PBE.

The 10 most intense peaks (10° ≤ 2θ ≤ 90°), low angle first:
Position (°2θ)	I (rel.)
11.16	18
22.44	28
29.85	34
33.94	26
35.86	14
41.08	100
48.78	27
52.95	18
58.25	20
72.61	13

Crystal structure
Cell lengths 9.7048, 9.7048, 9.7048 Å; angles 109.50, 109.50, 109.50 degrees
Element x y z (fractional)
V1 0.0486 0.5376 0.1648
V2 0.1283 0.5030 0.6186
V3 0.1648 0.0486 0.5376
V4 0.1696 0.2855 0.7965
V5 0.2035 0.8304 0.7145
V6 0.2855 0.7965 0.1696
V7 0.3814 0.8717 0.4970
V8 0.4624 0.8352 0.9514
V9 0.4970 0.3814 0.8717
V10 0.5030 0.6186 0.1283
V11 0.5376 0.1648 0.0486
V12 0.6186 0.1283 0.5030
V13 0.7145 0.2035 0.8304
V14 0.7965 0.1696 0.2855
V15 0.8304 0.7145 0.2035
V16 0.8352 0.9514 0.4624
V17 0.8717 0.4970 0.3814
V18 0.9514 0.4624 0.8352
In1 0.0000 0.0000 0.0000
In2 0.5000 0.5000 0.5000
S1 0.0038 0.2973 0.9509
S2 0.0381 0.3827 0.3304
S3 0.0491 0.9962 0.7027
S4 0.0834 0.7502 0.4165
S5 0.2498 0.5835 0.9166
S6 0.2834 0.3362 0.6297
S7 0.2973 0.9509 0.0038
S8 0.3304 0.0381 0.3827
S9 0.3362 0.6297 0.2834
S10 0.3703 0.7166 0.6638
S11 0.3827 0.3304 0.0381
S12 0.4165 0.0834 0.7502
S13 0.5835 0.9166 0.2498
S14 0.6173 0.6696 0.9619
S15 0.6297 0.2834 0.3362
S16 0.6638 0.3703 0.7166
S17 0.6696 0.9619 0.6173
S18 0.7027 0.0491 0.9962
S19 0.7166 0.6638 0.3703
S20 0.7502 0.4165 0.0834
S21 0.9166 0.2498 0.5835
S22 0.9509 0.0038 0.2973
S23 0.9619 0.6173 0.6696
S24 0.9962 0.7027 0.0491